1.
For CoCu3F7, DFT lattice parameters and positions (PBE+U) gives the simulated X-ray powder pattern in this record (Cu Kα X-rays).

Top 10 peaks for 2θ = 10–90°, by angle:
16.91°, I 12; 26.61°, I 100; 27.17°, I 36; 33.75°, I 19; 40.15°, I 15; 41.46°, I 19; 45.08°, I 12; 52.35°, I 31; 59.09°, I 21; 64.14°, I 13

Structure:
```
CoCu3F7
1.0
4.3557 2.5148 2.4303
-4.3557 2.5148 2.4303
0.0000 -5.0295 2.4303
Co Cu F
1 3 7
direct
0.0000 0.0000 0.0000
0.4529 0.4529 0.8329
0.4529 0.8329 0.4529
0.8329 0.4529 0.4529
0.1647 0.1647 0.7939
0.1647 0.7939 0.1647
0.2072 0.5794 0.5794
0.5794 0.2072 0.5794
0.5794 0.5794 0.2072
0.7202 0.7202 0.7202
0.7939 0.1647 0.1647
```

---

2.
For CoCuF5, DFT lattice parameters and positions (PBE+U) gives the simulated X-ray powder pattern in this record (Cu Kα X-rays).

Top 10 peaks for 2θ = 10–90°, by angle:
21.81°, I 100; 28.02°, I 58; 28.36°, I 80; 35.79°, I 17; 36.06°, I 17; 44.47°, I 27; 49.79°, I 28; 50.41°, I 20; 53.59°, I 21; 54.96°, I 19

Structure:
```
CoCuF5
1.0
3.6204 0.0000 0.0000
0.0000 6.3690 0.0000
0.0000 0.0000 8.1490
Co Cu F
2 2 10
direct
0.0000 0.0000 0.0000
0.5000 0.5000 0.5000
0.0000 0.0000 0.5000
0.5000 0.5000 0.0000
0.0000 0.0000 0.2171
0.0000 0.0000 0.7829
0.0000 0.3082 0.5000
0.0000 0.5000 0.0000
0.0000 0.6918 0.5000
0.5000 0.0000 0.5000
0.5000 0.1918 0.0000
0.5000 0.5000 0.2829
0.5000 0.5000 0.7171
0.5000 0.8082 0.0000
```

---

3.
For CoCu2HgF8, DFT lattice parameters and positions (PBE+U) gives the simulated X-ray powder pattern in this record (Cu Kα X-rays).

Top 10 peaks for 2θ = 10–90°, by angle:
18.70°, I 27; 29.13°, I 100; 33.84°, I 16; 38.94°, I 13; 48.43°, I 37; 48.60°, I 17; 57.36°, I 15; 57.67°, I 29; 60.39°, I 9; 78.43°, I 11

Structure:
```
CoCu2HgF8
1.0
-2.6492 2.6492 5.3339
2.6492 -2.6492 5.3339
2.6492 2.6492 -5.3339
Co Cu Hg F
1 2 1 8
direct
0.0000 0.0000 0.0000
0.2500 0.7500 0.5000
0.5000 0.5000 0.0000
0.7500 0.2500 0.5000
0.0928 0.6615 0.9450
0.1957 0.1227 0.6069
0.3385 0.2835 0.4314
0.4113 0.8043 0.9270
0.5157 0.5887 0.3931
0.7165 0.1479 0.0550
0.8521 0.9072 0.5686
0.8773 0.4843 0.0730
```

---

4.
For K3CoCu2F9, DFT lattice parameters and positions (PBE+U) gives the simulated X-ray powder pattern in this record (Cu Kα X-rays).

Top 10 peaks for 2θ = 10–90°, by angle:
21.66°, I 33; 30.82°, I 100; 44.15°, I 61; 49.69°, I 14; 54.78°, I 27; 54.90°, I 9; 64.15°, I 17; 64.28°, I 17; 72.92°, I 15; 89.27°, I 9

Structure:
```
K3CoCu2F9
1.0
5.8069 0.0000 0.0000
-2.9034 5.0289 0.0000
0.0000 0.0000 7.0930
K Co Cu F
3 1 2 9
direct
0.0000 0.0000 0.0000
0.3333 0.6667 0.6738
0.6667 0.3333 0.3262
0.0000 0.0000 0.5000
0.3333 0.6667 0.1651
0.6667 0.3333 0.8349
0.0000 0.5000 0.0000
0.1637 0.3275 0.3409
0.1637 0.8363 0.3409
0.3275 0.1637 0.6591
0.5000 0.0000 0.0000
0.5000 0.5000 0.0000
0.6725 0.8363 0.3409
0.8363 0.1637 0.6591
0.8363 0.6725 0.6591
```

---

5.
For NaCoCu2F6, DFT lattice parameters and positions (PBE+U) gives the simulated X-ray powder pattern in this record (Cu Kα X-rays).

Top 10 peaks for 2θ = 10–90°, by angle:
22.12°, I 48; 22.38°, I 50; 22.65°, I 46; 30.11°, I 79; 30.92°, I 61; 31.43°, I 57; 32.31°, I 59; 33.16°, I 100; 50.46°, I 52; 58.17°, I 65

Structure:
```
NaCoCu2F6
1.0
5.4046 0.0000 0.0000
2.5655 4.7623 0.0000
2.6225 1.3926 4.9039
Na Co Cu F
1 1 2 6
direct
0.0000 0.0000 0.0000
0.4863 0.4926 0.5349
0.2861 0.2971 0.1334
0.8039 0.7967 0.6128
0.1048 0.4097 0.8424
0.1936 0.8706 0.3629
0.4353 0.7009 0.7952
0.5514 0.2413 0.3182
0.6735 0.0996 0.8064
0.8819 0.5717 0.3448
```

---

6.
For CoCu2PbF8, DFT lattice parameters and positions (PBE+U) gives the simulated X-ray powder pattern in this record (Cu Kα X-rays).

Top 10 peaks for 2θ = 10–90°, by angle:
18.40°, I 29; 28.64°, I 100; 32.92°, I 15; 33.33°, I 20; 38.33°, I 16; 47.55°, I 28; 47.85°, I 17; 56.19°, I 17; 56.72°, I 34; 59.30°, I 13

Structure:
```
CoCu2PbF8
1.0
-2.6885 2.6885 5.4416
2.6885 -2.6885 5.4416
2.6885 2.6885 -5.4416
Co Cu Pb F
1 2 1 8
direct
0.0000 0.0000 0.0000
0.2500 0.7500 0.5000
0.5000 0.5000 0.0000
0.7500 0.2500 0.5000
0.0351 0.9611 0.6655
0.0389 0.7044 0.0740
0.1586 0.2435 0.5207
0.2956 0.3696 0.3345
0.3621 0.8414 0.0849
0.6304 0.9649 0.9260
0.7228 0.6379 0.4793
0.7565 0.2772 0.9151
```

---

7.
For ScCoCuF, DFT lattice parameters and positions (PBE+U) gives the simulated X-ray powder pattern in this record (Cu Kα X-rays).

Top 10 peaks for 2θ = 10–90°, by angle:
18.52°, I 34; 30.23°, I 20; 36.40°, I 33; 37.55°, I 49; 41.14°, I 100; 44.61°, I 30; 53.29°, I 21; 59.68°, I 22; 70.19°, I 19; 89.28°, I 13

Structure:
```
ScCoCuF
1.0
3.1082 0.0000 0.0000
0.0000 4.0624 0.0000
0.0000 0.0000 9.5817
Sc Co Cu F
2 2 2 2
direct
0.0000 0.0000 0.0000
0.5000 0.5000 0.5000
0.0000 0.5000 0.7375
0.5000 0.0000 0.2375
0.0000 0.5000 0.2419
0.5000 0.0000 0.7419
0.0000 0.5000 0.9722
0.5000 0.0000 0.4722
```

---

8.
For Li4Fe2Co3Cu3O16, DFT lattice parameters and positions (PBE+U) gives the simulated X-ray powder pattern in this record (Cu Kα X-rays).

Top 10 peaks for 2θ = 10–90°, by angle:
18.89°, I 100; 19.99°, I 44; 20.20°, I 57; 35.93°, I 38; 36.60°, I 38; 37.08°, I 41; 37.31°, I 27; 46.13°, I 28; 46.78°, I 37; 64.08°, I 34

Structure:
```
Li4Fe2Co3Cu3O16
1.0
5.0509 -2.8807 0.0000
5.0509 2.8807 0.0000
-0.2479 0.0000 9.3977
Li Fe Co Cu O
4 2 3 3 16
direct
0.0000 0.0000 0.0000
0.0052 0.0052 0.5018
0.3339 0.3339 0.3934
0.6642 0.6642 0.8940
0.3349 0.3349 0.9940
0.6723 0.6723 0.4955
0.1718 0.1718 0.7169
0.3384 0.8310 0.2167
0.8310 0.3384 0.2167
0.1707 0.6639 0.7175
0.6639 0.1707 0.7175
0.8313 0.8313 0.2181
0.0068 0.0068 0.3119
0.0088 0.0088 0.8100
0.0352 0.4717 0.8421
0.1604 0.1604 0.1133
0.1727 0.6772 0.1059
0.3291 0.3291 0.6125
0.3331 0.8513 0.6061
0.4717 0.0352 0.8421
0.4805 0.4805 0.8439
0.5067 0.9632 0.3384
0.5197 0.5197 0.3310
0.6605 0.6605 0.1126
0.6772 0.1727 0.1059
0.8424 0.8424 0.5997
0.8513 0.3331 0.6061
0.9632 0.5067 0.3384
```